This entry pairs a crystal structure of Ac2CdNiHg with its theoretical X-ray powder pattern. Radiation: Cu Kα. Structure: a cell relaxed with GGA-PBE.
Peak positions follow from Bragg's law for the DFT cell and can differ from measured ones.

Main lines, in order of rising 2θ (2θ = 10–90°):
| two_theta | intensity |
| --- | --- |
| 23.7 | 38.0 |
| 28.3 | 54.8 |
| 29.5 | 39.6 |
| 29.6 | 100.0 |
| 31.2 | 82.6 |
| 32.4 | 77.9 |
| 34.9 | 70.6 |
| 36.3 | 63.8 |
| 42.0 | 63.1 |
| 55.7 | 38.8 |

Atomic structure:
Lattice parameters (Å, degrees): 8.492 4.299 8.629 90.00 114.58 90.00
Positions (direct):
Ac  0.013  0.250  0.213
Ac  0.341  0.750  0.608
Ac  0.659  0.250  0.392
Ac  0.987  0.750  0.787
Cd  0.348  0.250  0.933
Cd  0.652  0.750  0.067
Ni  0.078  0.250  0.587
Ni  0.922  0.750  0.413
Hg  0.320  0.750  0.189
Hg  0.680  0.250  0.811


This entry pairs a crystal structure of Ac2CdHgPd6 with its theoretical X-ray powder pattern. Radiation: Cu Kα. Structure: a cell relaxed with GGA-PBE.
Peak positions follow from Bragg's law for the DFT cell and can differ from measured ones.

Main lines, in order of rising 2θ (2θ = 10–90°):
| two_theta | intensity |
| --- | --- |
| 10.3 | 80.4 |
| 22.3 | 32.5 |
| 30.0 | 34.9 |
| 30.6 | 35.4 |
| 36.2 | 40.9 |
| 37.2 | 30.8 |
| 38.2 | 100.0 |
| 39.1 | 45.2 |
| 52.8 | 29.5 |
| 63.7 | 29.2 |

Atomic structure:
Lattice parameters (Å, degrees): 9.252 9.252 9.252 36.80 36.80 36.80
Positions (direct):
Ac  0.212  0.212  0.212
Ac  0.788  0.788  0.788
Cd  0.000  0.000  0.000
Hg  0.500  0.500  0.500
Pd  0.237  0.752  0.752
Pd  0.248  0.248  0.763
Pd  0.248  0.763  0.248
Pd  0.752  0.237  0.752
Pd  0.752  0.752  0.237
Pd  0.763  0.248  0.248


This entry pairs a crystal structure of Ac3Cd2HgPd6 with its theoretical X-ray powder pattern. Radiation: Cu Kα. Structure: a cell relaxed with GGA-PBE.
Peak positions follow from Bragg's law for the DFT cell and can differ from measured ones.

Main lines, in order of rising 2θ (2θ = 10–90°):
| two_theta | intensity |
| --- | --- |
| 25.9 | 54.8 |
| 30.1 | 80.4 |
| 33.9 | 35.4 |
| 36.0 | 100.0 |
| 36.3 | 82.4 |
| 40.2 | 66.2 |
| 42.9 | 32.1 |
| 57.4 | 26.5 |
| 62.5 | 27.8 |
| 62.7 | 38.4 |

Atomic structure:
Lattice parameters (Å, degrees): 5.930 5.930 9.245 90.00 90.00 120.00
Positions (direct):
Ac  0.000  0.000  0.000
Ac  0.333  0.667  0.621
Ac  0.667  0.333  0.379
Cd  0.333  0.667  0.014
Cd  0.667  0.333  0.986
Hg  0.000  0.000  0.500
Pd  0.175  0.350  0.271
Pd  0.175  0.825  0.271
Pd  0.350  0.175  0.729
Pd  0.650  0.825  0.271
Pd  0.825  0.175  0.729
Pd  0.825  0.650  0.729


This entry pairs a crystal structure of AcCd2SnHg5 with its theoretical X-ray powder pattern. Radiation: Cu Kα. Structure: a cell relaxed with GGA-PBE.
Peak positions follow from Bragg's law for the DFT cell and can differ from measured ones.

Main lines, in order of rising 2θ (2θ = 10–90°):
| two_theta | intensity |
| --- | --- |
| 31.6 | 100.0 |
| 32.1 | 76.8 |
| 44.3 | 9.4 |
| 46.1 | 28.7 |
| 55.8 | 19.3 |
| 56.9 | 39.0 |
| 65.9 | 11.9 |
| 67.2 | 9.4 |
| 73.6 | 14.3 |
| 76.5 | 13.2 |

Atomic structure:
Lattice parameters (Å, degrees): 5.569 5.569 8.172 90.00 90.00 90.00
Positions (direct):
Ac  0.000  0.000  0.000
Cd  0.500  0.500  0.339
Cd  0.500  0.500  0.661
Sn  0.000  0.000  0.500
Hg  0.000  0.500  0.255
Hg  0.000  0.500  0.745
Hg  0.500  0.000  0.255
Hg  0.500  0.000  0.745
Hg  0.500  0.500  0.000


This entry pairs a crystal structure of AcCdHgTe with its theoretical X-ray powder pattern. Radiation: Cu Kα. Structure: a cell relaxed with GGA-PBE.
Peak positions follow from Bragg's law for the DFT cell and can differ from measured ones.

Main lines, in order of rising 2θ (2θ = 10–90°):
| two_theta | intensity |
| --- | --- |
| 19.5 | 8.2 |
| 32.2 | 100.0 |
| 37.9 | 5.1 |
| 46.1 | 18.5 |
| 50.5 | 2.4 |
| 57.3 | 38.9 |
| 67.3 | 12.0 |
| 70.8 | 1.9 |
| 76.6 | 16.8 |
| 85.5 | 4.3 |

Atomic structure:
Lattice parameters (Å, degrees): 7.871 7.871 7.871 90.00 90.00 90.00
Positions (direct):
Ac  0.000  0.000  0.000
Ac  0.000  0.500  0.500
Ac  0.500  0.000  0.500
Ac  0.500  0.500  0.000
Cd  0.000  0.000  0.500
Cd  0.000  0.500  0.000
Cd  0.500  0.000  0.000
Cd  0.500  0.500  0.500
Hg  0.250  0.250  0.250
Hg  0.250  0.750  0.750
Hg  0.750  0.250  0.750
Hg  0.750  0.750  0.250
Te  0.250  0.250  0.750
Te  0.250  0.750  0.250
Te  0.750  0.250  0.250
Te  0.750  0.750  0.750


This entry pairs a crystal structure of Ac2HoCd4In3 with its theoretical X-ray powder pattern. Radiation: Cu Kα. Structure: a cell relaxed with GGA-PBE.
Peak positions follow from Bragg's law for the DFT cell and can differ from measured ones.

Main lines, in order of rising 2θ (2θ = 10–90°):
| two_theta | intensity |
| --- | --- |
| 28.1 | 44.7 |
| 30.1 | 100.0 |
| 38.1 | 49.7 |
| 38.8 | 12.3 |
| 39.9 | 30.0 |
| 48.0 | 20.9 |
| 54.9 | 16.9 |
| 56.3 | 21.7 |
| 63.9 | 23.2 |
| 70.8 | 9.9 |

Atomic structure:
Lattice parameters (Å, degrees): 4.728 4.728 12.877 90.00 90.00 90.00
Positions (direct):
Ac  0.000  0.500  0.235
Ac  0.500  0.000  0.765
Ho  0.000  0.000  0.500
Cd  0.000  0.000  0.000
Cd  0.000  0.500  0.650
Cd  0.500  0.000  0.350
Cd  0.500  0.500  0.000
In  0.000  0.500  0.867
In  0.500  0.000  0.133
In  0.500  0.500  0.500


This entry pairs a crystal structure of LiAc2HoCd6 with its theoretical X-ray powder pattern. Radiation: Cu Kα. Structure: a cell relaxed with GGA-PBE.
Peak positions follow from Bragg's law for the DFT cell and can differ from measured ones.

Main lines, in order of rising 2θ (2θ = 10–90°):
| two_theta | intensity |
| --- | --- |
| 22.9 | 26.0 |
| 24.7 | 16.6 |
| 30.4 | 100.0 |
| 32.8 | 63.7 |
| 33.1 | 92.0 |
| 35.7 | 43.2 |
| 36.3 | 40.0 |
| 42.5 | 15.6 |
| 57.1 | 16.7 |
| 73.3 | 17.1 |

Atomic structure:
Lattice parameters (Å, degrees): 5.459 7.195 8.267 64.22 70.80 89.97
Positions (direct):
Li  0.000  0.000  0.000
Ac  0.347  0.847  0.308
Ac  0.653  0.153  0.692
Ho  0.500  0.500  0.000
Cd  0.112  0.412  0.775
Cd  0.113  0.811  0.776
Cd  0.282  0.283  0.434
Cd  0.718  0.717  0.566
Cd  0.887  0.189  0.224
Cd  0.888  0.588  0.225


This entry pairs a crystal structure of Ac3Cd2In2 with its theoretical X-ray powder pattern. Radiation: Cu Kα. Structure: a cell relaxed with GGA-PBE.
Peak positions follow from Bragg's law for the DFT cell and can differ from measured ones.

Main lines, in order of rising 2θ (2θ = 10–90°):
| two_theta | intensity |
| --- | --- |
| 28.8 | 48.6 |
| 29.0 | 100.0 |
| 29.9 | 39.9 |
| 33.2 | 84.3 |
| 34.9 | 45.6 |
| 36.1 | 16.4 |
| 46.5 | 23.9 |
| 57.3 | 18.8 |
| 61.5 | 15.0 |
| 63.5 | 16.7 |

Atomic structure:
Lattice parameters (Å, degrees): 12.114 5.148 7.691 90.00 104.09 90.00
Positions (direct):
Ac  0.000  0.000  0.000
Ac  0.164  0.000  0.606
Ac  0.336  0.500  0.394
Ac  0.500  0.500  0.000
Ac  0.664  0.500  0.606
Ac  0.836  0.000  0.394
Cd  0.194  0.500  0.936
Cd  0.306  0.000  0.064
Cd  0.694  0.000  0.936
Cd  0.806  0.500  0.064
In  0.034  0.500  0.319
In  0.466  0.000  0.681
In  0.534  0.000  0.319
In  0.966  0.500  0.681


This entry pairs a crystal structure of AcCd6In2 with its theoretical X-ray powder pattern. Radiation: Cu Kα. Structure: a cell relaxed with GGA-PBE.
Peak positions follow from Bragg's law for the DFT cell and can differ from measured ones.

Main lines, in order of rising 2θ (2θ = 10–90°):
| two_theta | intensity |
| --- | --- |
| 25.6 | 15.9 |
| 28.3 | 15.1 |
| 32.1 | 100.0 |
| 37.6 | 28.6 |
| 38.4 | 50.8 |
| 39.6 | 14.2 |
| 50.9 | 12.0 |
| 55.5 | 17.0 |
| 56.4 | 10.1 |
| 65.5 | 21.9 |

Atomic structure:
Lattice parameters (Å, degrees): 4.683 4.683 10.401 90.00 90.00 90.00
Positions (direct):
Ac  0.000  0.000  0.000
Cd  0.000  0.000  0.500
Cd  0.000  0.500  0.303
Cd  0.000  0.500  0.697
Cd  0.500  0.000  0.303
Cd  0.500  0.000  0.697
Cd  0.500  0.500  0.500
In  0.500  0.500  0.136
In  0.500  0.500  0.864


This entry pairs a crystal structure of Ac12CdIn6 with its theoretical X-ray powder pattern. Radiation: Cu Kα. Structure: a cell relaxed with GGA-PBE.
Peak positions follow from Bragg's law for the DFT cell and can differ from measured ones.

Main lines, in order of rising 2θ (2θ = 10–90°):
| two_theta | intensity |
| --- | --- |
| 19.5 | 16.2 |
| 24.0 | 18.3 |
| 25.0 | 14.7 |
| 27.5 | 31.1 |
| 28.9 | 20.9 |
| 29.9 | 100.0 |
| 31.9 | 37.4 |
| 33.9 | 27.6 |
| 39.4 | 24.2 |
| 48.8 | 26.3 |

Atomic structure:
Lattice parameters (Å, degrees): 9.789 9.789 9.789 107.58 107.58 107.58
Positions (direct):
Ac  0.023  0.317  0.888
Ac  0.099  0.450  0.347
Ac  0.112  0.977  0.683
Ac  0.317  0.888  0.023
Ac  0.347  0.099  0.450
Ac  0.450  0.347  0.099
Ac  0.550  0.653  0.901
Ac  0.653  0.901  0.550
Ac  0.683  0.112  0.977
Ac  0.888  0.023  0.317
Ac  0.901  0.550  0.653
Ac  0.977  0.683  0.112
Cd  0.000  0.000  0.000
In  0.202  0.338  0.649
In  0.338  0.649  0.202
In  0.351  0.798  0.662
In  0.649  0.202  0.338
In  0.662  0.351  0.798
In  0.798  0.662  0.351


This entry pairs a crystal structure of Ac2Cd6In with its theoretical X-ray powder pattern. Radiation: Cu Kα. Structure: a cell relaxed with GGA-PBE.
Peak positions follow from Bragg's law for the DFT cell and can differ from measured ones.

Main lines, in order of rising 2θ (2θ = 10–90°):
| two_theta | intensity |
| --- | --- |
| 26.9 | 15.4 |
| 30.3 | 44.8 |
| 31.2 | 17.9 |
| 31.7 | 61.7 |
| 34.2 | 100.0 |
| 49.7 | 13.7 |
| 50.5 | 13.7 |
| 50.7 | 21.1 |
| 55.5 | 25.3 |
| 60.5 | 18.0 |

Atomic structure:
Lattice parameters (Å, degrees): 6.626 6.626 6.473 90.00 90.00 120.00
Positions (direct):
Ac  0.333  0.667  0.156
Ac  0.667  0.333  0.844
Cd  0.180  0.359  0.663
Cd  0.180  0.820  0.663
Cd  0.359  0.180  0.337
Cd  0.641  0.820  0.663
Cd  0.820  0.180  0.337
Cd  0.820  0.641  0.337
In  0.000  0.000  0.000


This entry pairs a crystal structure of AcCd9In2 with its theoretical X-ray powder pattern. Radiation: Cu Kα. Structure: a cell relaxed with GGA-PBE.
Peak positions follow from Bragg's law for the DFT cell and can differ from measured ones.

Main lines, in order of rising 2θ (2θ = 10–90°):
| two_theta | intensity |
| --- | --- |
| 29.0 | 36.8 |
| 32.0 | 100.0 |
| 32.9 | 33.0 |
| 33.6 | 60.6 |
| 36.3 | 19.3 |
| 39.3 | 51.4 |
| 40.1 | 24.6 |
| 55.8 | 14.8 |
| 59.1 | 32.6 |
| 70.7 | 13.7 |

Atomic structure:
Lattice parameters (Å, degrees): 9.409 9.409 9.409 101.43 101.43 127.14
Positions (direct):
Ac  0.375  0.625  0.750
Ac  0.625  0.375  0.250
Cd  0.122  0.546  0.335
Cd  0.122  0.787  0.576
Cd  0.125  0.875  0.250
Cd  0.213  0.289  0.335
Cd  0.213  0.878  0.924
Cd  0.289  0.213  0.835
Cd  0.289  0.454  0.076
Cd  0.454  0.289  0.576
Cd  0.454  0.878  0.165
Cd  0.546  0.122  0.835
Cd  0.546  0.711  0.424
Cd  0.711  0.546  0.924
Cd  0.711  0.787  0.165
Cd  0.787  0.122  0.076
Cd  0.787  0.711  0.665
Cd  0.875  0.125  0.750
Cd  0.878  0.213  0.424
Cd  0.878  0.454  0.665
In  0.000  0.000  0.000
In  0.000  0.000  0.500
In  0.000  0.500  0.000
In  0.500  0.000  0.500


This entry pairs a crystal structure of Ac3Cd2In with its theoretical X-ray powder pattern. Radiation: Cu Kα. Structure: a cell relaxed with GGA-PBE.
Peak positions follow from Bragg's law for the DFT cell and can differ from measured ones.

Main lines, in order of rising 2θ (2θ = 10–90°):
| two_theta | intensity |
| --- | --- |
| 21.8 | 10.9 |
| 30.9 | 100.0 |
| 31.0 | 49.5 |
| 44.5 | 18.6 |
| 54.9 | 19.9 |
| 55.1 | 39.4 |
| 64.4 | 12.3 |
| 73.5 | 16.8 |
| 89.5 | 10.6 |
| 89.9 | 10.6 |

Atomic structure:
Lattice parameters (Å, degrees): 4.074 4.074 12.324 90.00 90.00 90.00
Positions (direct):
Ac  0.000  0.000  0.000
Ac  0.000  0.000  0.333
Ac  0.000  0.000  0.667
Cd  0.500  0.500  0.164
Cd  0.500  0.500  0.836
In  0.500  0.500  0.500


This entry pairs a crystal structure of AcCdIn6 with its theoretical X-ray powder pattern. Radiation: Cu Kα. Structure: a cell relaxed with GGA-PBE.
Peak positions follow from Bragg's law for the DFT cell and can differ from measured ones.

Main lines, in order of rising 2θ (2θ = 10–90°):
| two_theta | intensity |
| --- | --- |
| 32.3 | 100.0 |
| 34.6 | 20.8 |
| 36.7 | 16.3 |
| 40.8 | 13.7 |
| 51.3 | 11.8 |
| 54.5 | 11.1 |
| 60.5 | 14.8 |
| 63.4 | 11.4 |
| 67.5 | 10.2 |
| 68.9 | 10.9 |

Atomic structure:
Lattice parameters (Å, degrees): 9.782 10.379 4.428 90.00 90.00 90.00
Positions (direct):
Ac  0.000  0.000  0.000
Ac  0.500  0.500  0.000
Cd  0.000  0.500  0.000
Cd  0.500  0.000  0.000
In  0.000  0.266  0.500
In  0.000  0.734  0.500
In  0.221  0.500  0.500
In  0.250  0.250  0.000
In  0.250  0.750  0.000
In  0.279  0.000  0.500
In  0.500  0.234  0.500
In  0.500  0.766  0.500
In  0.721  0.000  0.500
In  0.750  0.250  0.000
In  0.750  0.750  0.000
In  0.779  0.500  0.500